Diffraction record for Sr2Mg12Cd3In. The X-ray diffraction stick pattern is calculated, not measured: it uses a structure optimized by DFT (GGA-PBE) and a wavelength of 1.5418 Å.

Peak list (10 most intense, 2θ = 10–90°, by angle)
2θ = 16.4°, rel. 51; 2θ = 19.4°, rel. 32; 2θ = 25.4°, rel. 100; 2θ = 27.9°, rel. 35; 2θ = 28.3°, rel. 56; 2θ = 33.4°, rel. 37; 2θ = 34.7°, rel. 24; 2θ = 35.6°, rel. 69; 2θ = 43.1°, rel. 27; 2θ = 49.1°, rel. 38

Crystal structure
```
Sr2Mg12Cd3In
1.0
3.709 2.141 10.829
-3.709 2.141 10.829
0.000 -4.283 10.829
Sr Mg Cd In
2 12 3 1
direct
0.144 0.144 0.144
0.856 0.856 0.856
0.086 0.086 0.691
0.086 0.691 0.086
0.119 0.589 0.589
0.309 0.914 0.914
0.411 0.411 0.881
0.411 0.881 0.411
0.589 0.119 0.589
0.589 0.589 0.119
0.691 0.086 0.086
0.881 0.411 0.411
0.914 0.309 0.914
0.914 0.914 0.309
0.000 0.500 0.500
0.500 0.000 0.500
0.500 0.500 0.000
0.500 0.500 0.500
```


Diffraction record for Mg2Tl2Cd2In5. The X-ray diffraction stick pattern is calculated, not measured: it uses a structure optimized by DFT (GGA-PBE) and a wavelength of 1.5418 Å.

Peak list (10 most intense, 2θ = 10–90°, by angle)
2θ = 29.9°, rel. 25; 2θ = 30.2°, rel. 100; 2θ = 34.5°, rel. 21; 2θ = 34.8°, rel. 32; 2θ = 37.9°, rel. 54; 2θ = 38.0°, rel. 18; 2θ = 40.7°, rel. 47; 2θ = 54.4°, rel. 23; 2θ = 67.7°, rel. 19; 2θ = 72.3°, rel. 18

Crystal structure
```
Mg2Tl2Cd2In5
1.0
-2.215 2.215 18.183
2.215 -2.215 18.183
2.215 2.215 -18.183
Mg Tl Cd In
2 2 2 5
direct
0.078 0.078 0.000
0.922 0.922 0.000
0.216 0.216 0.000
0.784 0.784 0.000
0.302 0.302 0.000
0.698 0.698 0.000
0.000 0.000 0.000
0.135 0.635 0.500
0.365 0.865 0.500
0.635 0.135 0.500
0.865 0.365 0.500
```